Entry 1:
Starting from a GGA-PBE-relaxed structure, the powder diffractogram of NaPa4Cu3O12 was calculated for CuKα.
Kinematic intensities with the Lorentz-polarization factor, no thermal factor.

Crystal structure
```
data_NaPa4Cu3O12
_space_group_name_H-M_alt 'I m -3'
_space_group_IT_number 204
_space_group_name_Hall '-I 2 2 3'
_cell_length_a 8.230
_cell_length_b 8.230
_cell_length_c 8.230
_cell_angle_alpha 90.00
_cell_angle_beta 90.00
_cell_angle_gamma 90.00
loop_
_atom_site_label
_atom_site_fract_x
_atom_site_fract_y
_atom_site_fract_z
Na1 0.000 0.000 0.000
Pa1 0.250 0.250 0.250
Cu1 0.000 0.000 0.500
O1 0.000 0.304 0.173
```

Main lines, by intensity (10° ≤ 2θ ≤ 90°):
| 2theta | Rel. int. | h k l |
| --- | --- | --- |
| 30.73 | 100 | 2 2 0 |
| 21.60 | 49 | 2 0 0 |
| 54.64 | 48 | 4 2 2 |
| 49.54 | 24 | 4 2 0 |
| 44.01 | 23 | 4 0 0 |
| 89.02 | 23 | 6 2 4 |
| 72.66 | 19 | 6 2 0 |
| 64.00 | 14 | 4 4 0 |
| 37.87 | 11 | 2 2 2 |
| 68.40 | 10 | 4 4 2 |
| 76.83 | 7 | 6 2 2 |
| 84.99 | 5 | 6 0 4 |



Entry 2:
Starting from a GGA-PBE-relaxed structure, the powder diffractogram of NaPm2Cu2O6 was calculated for CuKα.
Kinematic intensities with the Lorentz-polarization factor, no thermal factor.

Crystal structure
```
data_NaPm2Cu2O6
_space_group_name_H-M_alt 'R -3 m'
_space_group_IT_number 166
_space_group_name_Hall '-R 3 2"'
_cell_length_a 5.7076
_cell_length_b 5.7076
_cell_length_c 17.8003
_cell_angle_alpha 90.00
_cell_angle_beta 90.00
_cell_angle_gamma 120.00
loop_
_atom_site_label
_atom_site_fract_x
_atom_site_fract_y
_atom_site_fract_z
Na1 0.0000 0.0000 0.0000
Pm1 0.0000 0.0000 0.1986
Cu1 0.0000 0.0000 0.4257
O1 0.0317 0.5159 0.7677
```

Main lines, by intensity (10° ≤ 2θ ≤ 90°):
| 2theta | Rel. int. | h k l |
| --- | --- | --- |
| 31.35 | 100 | 1 1 0 |
| 30.96 | 84 | 0 1 5 |
| 14.93 | 84 | 0 0 3 |
| 44.64 | 69 | 2 0 5 |
| 55.56 | 46 | 1 2 5 |
| 34.89 | 44 | 1 1 3 |
| 55.80 | 19 | 3 0 0 |
| 65.21 | 18 | 1 2 8 |
| 65.41 | 18 | 2 2 0 |
| 37.78 | 16 | 2 0 2 |
| 82.67 | 14 | 0 4 5 |
| 74.11 | 14 | 3 1 5 |